For LiCoO2, a DFT-relaxed cell (PBE+U, the Materials Project) gives the theoretical X-ray powder pattern in this record (Cu Kα X-rays).
Kinematic intensities with the Lorentz-polarization factor, no thermal factor.

Peak list (10 most intense, 10° ≤ 2θ ≤ 80°, by intensity)
2theta  I_rel
18.71  100
43.60  26
43.96  25
44.73  24
36.19  15
63.65  14
64.42  13
35.96  11
37.88  10
36.62  10

Structure:
Lattice parameters (Å, degrees): 5.772 5.785 5.788 119.30 119.21 90.93
Sites, in units of the cell vectors:
Li1 0.000 0.000 0.000
Li2 0.000 0.000 0.500
Li3 0.000 0.500 0.000
Li4 0.500 0.000 0.500
Co1 0.000 0.500 0.500
Co2 0.500 0.000 0.000
Co3 0.500 0.500 0.000
Co4 0.500 0.500 0.500
O1 0.257 0.732 0.506
O2 0.268 0.743 0.994
O3 0.269 0.276 0.529
O4 0.276 0.269 0.029
O5 0.724 0.731 0.971
O6 0.731 0.724 0.471
O7 0.732 0.257 0.006
O8 0.743 0.268 0.494

For Li2MnP2O7, a DFT-relaxed cell (PBE+U, the Materials Project) gives the theoretical X-ray powder pattern in this record (Cu Kα X-rays).
Kinematic intensities with the Lorentz-polarization factor, no thermal factor.

Peak list (10 most intense, 10° ≤ 2θ ≤ 80°, by intensity)
2theta  I_rel
13.91  100
28.52  61
24.25  58
28.33  57
28.95  51
28.06  43
29.20  40
30.75  38
37.42  31
40.41  30

Structure:
Lattice parameters (Å, degrees): 7.350 7.350 11.638 90.94 90.94 120.07
Sites, in units of the cell vectors:
Li1 0.192 0.754 0.491
Li2 0.211 0.789 0.750
Li3 0.229 0.771 0.250
Li4 0.246 0.808 0.009
Li5 0.754 0.192 0.991
Li6 0.771 0.229 0.750
Li7 0.789 0.211 0.250
Li8 0.808 0.246 0.509
Mn1 0.174 0.178 0.119
Mn2 0.178 0.174 0.619
Mn3 0.822 0.826 0.381
Mn4 0.826 0.822 0.881
P1 0.165 0.406 0.865
P2 0.229 0.429 0.378
P3 0.406 0.165 0.365
P4 0.429 0.229 0.878
P5 0.571 0.771 0.122
P6 0.594 0.835 0.635
P7 0.771 0.571 0.622
P8 0.835 0.594 0.135
O1 0.038 0.238 0.955
O2 0.077 0.320 0.743
O3 0.089 0.290 0.276
O4 0.117 0.346 0.493
O5 0.189 0.621 0.883
O6 0.238 0.038 0.455
O7 0.290 0.089 0.776
O8 0.314 0.662 0.372
O9 0.320 0.077 0.243
O10 0.338 0.686 0.128
O11 0.346 0.117 0.993
O12 0.379 0.811 0.617
O13 0.403 0.438 0.877
O14 0.438 0.403 0.377
O15 0.562 0.597 0.623
O16 0.597 0.562 0.123
O17 0.621 0.189 0.383
O18 0.654 0.883 0.007
O19 0.662 0.314 0.872
O20 0.680 0.923 0.757
O21 0.686 0.338 0.628
O22 0.710 0.911 0.224
O23 0.762 0.962 0.545
O24 0.811 0.379 0.117
O25 0.883 0.654 0.507
O26 0.911 0.710 0.724
O27 0.923 0.680 0.257
O28 0.962 0.762 0.045